(1)
The following is a theoretical XRD peak list of PmDyGaPt. It was derived from a cell relaxed with GGA-PBE, using Cu Kα.
Peak positions follow from Bragg's law for the DFT cell and can differ from measured ones.

Atomic structure:
a b c (Å): 4.381 3.881 11.188
angles (deg): 90.00 90.00 90.00
Positions (direct):
Pm1 0.000 0.000 0.000
Pm2 0.000 0.500 0.500
Dy1 0.500 0.000 0.285
Dy2 0.500 0.500 0.785
Ga1 0.500 0.000 0.574
Ga2 0.500 0.500 0.074
Pt1 0.000 0.000 0.726
Pt2 0.000 0.500 0.226

Largest 10 diffraction maxima, in order of falling intensity, 2θ from 5° to 70°:
| two_theta | I (rel.) |
| --- | --- |
| 31.83 | 100.0 |
| 39.31 | 61.6 |
| 33.32 | 30.4 |
| 38.17 | 29.8 |
| 41.21 | 27.8 |
| 32.00 | 26.5 |
| 46.82 | 21.8 |
| 15.84 | 18.7 |
| 64.12 | 17.1 |
| 53.99 | 15.6 |

(2)
The following is a theoretical XRD peak list of Pr2DyGa2. It was derived from a cell relaxed with GGA-PBE, using Cu Kα.
Peak positions follow from Bragg's law for the DFT cell and can differ from measured ones.

Atomic structure:
a b c (Å): 4.703 6.642 8.780
angles (deg): 90.00 90.00 90.00
Positions (direct):
Pr1 0.000 0.000 0.200
Pr2 0.000 0.000 0.800
Pr3 0.500 0.500 0.300
Pr4 0.500 0.500 0.700
Dy1 0.000 0.500 0.000
Dy2 0.500 0.000 0.500
Ga1 0.000 0.297 0.500
Ga2 0.000 0.703 0.500
Ga3 0.500 0.203 0.000
Ga4 0.500 0.797 0.000

Largest 10 diffraction maxima, in order of falling intensity, 2θ from 5° to 70°:
| two_theta | I (rel.) |
| --- | --- |
| 30.95 | 100.0 |
| 34.61 | 54.5 |
| 51.76 | 31.3 |
| 38.28 | 26.4 |
| 33.46 | 26.2 |
| 63.07 | 22.1 |
| 26.84 | 19.9 |
| 66.19 | 15.1 |
| 64.68 | 12.0 |
| 50.05 | 10.8 |

(3)
The following is a theoretical XRD peak list of DyGa4Pt2. It was derived from a cell relaxed with GGA-PBE, using Cu Kα.
Peak positions follow from Bragg's law for the DFT cell and can differ from measured ones.

Atomic structure:
a b c (Å): 17.327 4.288 6.687
angles (deg): 90.00 90.00 90.00
Positions (direct):
Dy1 0.142 0.250 0.015
Dy2 0.358 0.750 0.515
Dy3 0.642 0.250 0.485
Dy4 0.858 0.750 0.985
Ga1 0.037 0.750 0.852
Ga2 0.069 0.250 0.485
Ga3 0.185 0.750 0.320
Ga4 0.188 0.750 0.730
Ga5 0.312 0.250 0.230
Ga6 0.315 0.250 0.820
Ga7 0.431 0.750 0.985
Ga8 0.463 0.250 0.352
Ga9 0.537 0.750 0.648
Ga10 0.569 0.250 0.015
Ga11 0.685 0.750 0.180
Ga12 0.688 0.750 0.770
Ga13 0.812 0.250 0.270
Ga14 0.815 0.250 0.680
Ga15 0.931 0.750 0.515
Ga16 0.963 0.250 0.148
Pt1 0.038 0.750 0.248
Pt2 0.216 0.250 0.528
Pt3 0.284 0.750 0.028
Pt4 0.462 0.250 0.748
Pt5 0.538 0.750 0.252
Pt6 0.716 0.250 0.972
Pt7 0.784 0.750 0.472
Pt8 0.962 0.250 0.752

Largest 10 diffraction maxima, in order of falling intensity, 2θ from 5° to 70°:
| two_theta | I (rel.) |
| --- | --- |
| 35.59 | 100.0 |
| 35.92 | 59.8 |
| 42.14 | 50.7 |
| 38.79 | 33.6 |
| 46.65 | 30.5 |
| 28.62 | 26.4 |
| 47.13 | 21.8 |
| 58.61 | 20.2 |
| 51.77 | 17.7 |
| 29.31 | 16.0 |

(4)
The following is a theoretical XRD peak list of Dy2Ga6Pt. It was derived from a cell relaxed with GGA-PBE, using Cu Kα.
Peak positions follow from Bragg's law for the DFT cell and can differ from measured ones.

Atomic structure:
a b c (Å): 3.715 12.025 12.025
angles (deg): 20.05 90.00 90.00
Positions (direct):
Dy1 0.000 0.000 0.000
Dy2 0.000 0.333 0.333
Ga1 0.000 0.627 0.627
Ga2 0.000 0.737 0.737
Ga3 0.500 0.118 0.118
Ga4 0.500 0.226 0.226
Ga5 0.500 0.441 0.441
Ga6 0.500 0.881 0.881
Pt1 0.500 0.548 0.548

Largest 10 diffraction maxima, in order of falling intensity, 2θ from 5° to 70°:
| two_theta | I (rel.) |
| --- | --- |
| 34.21 | 100.0 |
| 7.47 | 43.3 |
| 40.49 | 33.3 |
| 33.11 | 27.7 |
| 43.21 | 25.2 |
| 42.08 | 21.8 |
| 49.04 | 17.4 |
| 65.42 | 16.1 |
| 14.96 | 13.7 |
| 67.40 | 13.2 |

(5)
The following is a theoretical XRD peak list of DyGa6Pt4. It was derived from a cell relaxed with GGA-PBE, using Cu Kα.
Peak positions follow from Bragg's law for the DFT cell and can differ from measured ones.

Atomic structure:
a b c (Å): 7.640 7.640 3.773
angles (deg): 90.00 90.00 120.00
Positions (direct):
Dy1 0.000 0.000 0.000
Ga1 0.193 0.385 0.500
Ga2 0.193 0.807 0.500
Ga3 0.529 0.059 0.000
Ga4 0.529 0.471 0.000
Ga5 0.615 0.807 0.500
Ga6 0.941 0.471 0.000
Pt1 0.333 0.667 0.000
Pt2 0.393 0.196 0.500
Pt3 0.804 0.196 0.500
Pt4 0.804 0.607 0.500

Largest 10 diffraction maxima, in order of falling intensity, 2θ from 5° to 70°:
| two_theta | I (rel.) |
| --- | --- |
| 36.11 | 100.0 |
| 33.38 | 76.6 |
| 43.41 | 71.6 |
| 35.91 | 60.7 |
| 47.61 | 60.0 |
| 47.77 | 59.3 |
| 26.95 | 50.6 |
| 27.21 | 37.7 |
| 48.24 | 35.7 |
| 61.58 | 25.5 |

(6)
The following is a theoretical XRD peak list of Dy3Ga2Pt7. It was derived from a cell relaxed with GGA-PBE, using Cu Kα.
Peak positions follow from Bragg's law for the DFT cell and can differ from measured ones.

Atomic structure:
a b c (Å): 14.858 14.858 4.028
angles (deg): 90.00 90.00 164.22
Positions (direct):
Dy1 0.000 0.000 0.000
Dy2 0.203 0.797 0.000
Dy3 0.797 0.203 0.000
Ga1 0.417 0.583 0.500
Ga2 0.583 0.417 0.500
Pt1 0.134 0.866 0.500
Pt2 0.286 0.714 0.500
Pt3 0.365 0.635 0.000
Pt4 0.500 0.500 0.500
Pt5 0.635 0.365 0.000
Pt6 0.714 0.286 0.500
Pt7 0.866 0.134 0.500

Largest 10 diffraction maxima, in order of falling intensity, 2θ from 5° to 70°:
| two_theta | I (rel.) |
| --- | --- |
| 34.82 | 100.0 |
| 38.00 | 68.2 |
| 6.01 | 63.9 |
| 46.43 | 32.0 |
| 44.43 | 31.9 |
| 45.02 | 30.7 |
| 43.02 | 21.9 |
| 65.10 | 20.6 |
| 68.90 | 20.4 |
| 32.55 | 18.6 |

(7)
The following is a theoretical XRD peak list of DyGa6Pt12. It was derived from a cell relaxed with GGA-PBE, using Cu Kα.
Peak positions follow from Bragg's law for the DFT cell and can differ from measured ones.

Atomic structure:
a b c (Å): 7.294 7.294 7.294
angles (deg): 106.57 106.57 106.57
Positions (direct):
Dy1 0.000 0.000 0.000
Ga1 0.275 0.275 0.696
Ga2 0.275 0.696 0.275
Ga3 0.304 0.725 0.725
Ga4 0.696 0.275 0.275
Ga5 0.725 0.304 0.725
Ga6 0.725 0.725 0.304
Pt1 0.125 0.500 0.875
Pt2 0.125 0.875 0.500
Pt3 0.141 0.379 0.379
Pt4 0.379 0.141 0.379
Pt5 0.379 0.379 0.141
Pt6 0.500 0.125 0.875
Pt7 0.500 0.875 0.125
Pt8 0.621 0.621 0.859
Pt9 0.621 0.859 0.621
Pt10 0.859 0.621 0.621
Pt11 0.875 0.125 0.500
Pt12 0.875 0.500 0.125

Largest 10 diffraction maxima, in order of falling intensity, 2θ from 5° to 70°:
| two_theta | I (rel.) |
| --- | --- |
| 33.70 | 100.0 |
| 35.98 | 58.7 |
| 50.14 | 52.2 |
| 42.29 | 51.4 |
| 40.32 | 32.7 |
| 23.21 | 27.6 |
| 65.46 | 23.5 |
| 44.73 | 23.0 |
| 47.44 | 20.4 |
| 26.40 | 20.0 |

(8)
The following is a theoretical XRD peak list of Dy3GaPt2. It was derived from a cell relaxed with GGA-PBE, using Cu Kα.
Peak positions follow from Bragg's law for the DFT cell and can differ from measured ones.

Atomic structure:
a b c (Å): 11.684 4.258 11.180
angles (deg): 90.00 90.00 90.00
Positions (direct):
Dy1 0.048 0.250 0.125
Dy2 0.122 0.750 0.574
Dy3 0.202 0.250 0.820
Dy4 0.298 0.750 0.320
Dy5 0.378 0.250 0.074
Dy6 0.452 0.750 0.625
Dy7 0.548 0.250 0.375
Dy8 0.622 0.750 0.926
Dy9 0.702 0.250 0.680
Dy10 0.798 0.750 0.180
Dy11 0.878 0.250 0.426
Dy12 0.952 0.750 0.875
Ga1 0.130 0.250 0.376
Ga2 0.370 0.750 0.876
Ga3 0.630 0.250 0.124
Ga4 0.870 0.750 0.624
Pt1 0.012 0.750 0.314
Pt2 0.178 0.750 0.997
Pt3 0.322 0.250 0.497
Pt4 0.488 0.250 0.814
Pt5 0.512 0.750 0.186
Pt6 0.678 0.750 0.503
Pt7 0.822 0.250 0.003
Pt8 0.988 0.250 0.686

Largest 10 diffraction maxima, in order of falling intensity, 2θ from 5° to 70°:
| two_theta | I (rel.) |
| --- | --- |
| 35.11 | 100.0 |
| 42.46 | 60.4 |
| 31.91 | 59.2 |
| 30.51 | 53.8 |
| 32.85 | 53.1 |
| 65.05 | 52.0 |
| 46.85 | 42.7 |
| 39.35 | 35.3 |
| 38.22 | 34.5 |
| 40.79 | 30.5 |